1.
Simulated X-ray powder pattern
Compound: Rb2Pb4O7
Radiation: a wavelength of 1.5418 Å
Structure: a DFT-relaxed cell (GGA-PBE, the Materials Project)
No peak broadening, texture or thermal motion is included.

Main lines, in order of falling intensity (15 to 90 degrees two-theta):
29.3°, d 3.045, intensity 100; 26.0°, d 3.426, intensity 42; 35.7°, d 2.515, intensity 32; 32.9°, d 2.722, intensity 29; 31.1°, d 2.878, intensity 26; 26.8°, d 3.329, intensity 23

Structural model:
```
26
Lattice="6.800 0.000 0.000 -0.002 7.480 0.000 -1.698 -2.217 10.277" Properties=species:S:1:pos:R:3 pbc="T T T"
Rb -0.023 1.767 3.227
Rb 1.678 3.488 7.042
Rb 3.422 1.775 3.235
Rb 5.122 3.495 7.050
Pb -0.014 5.529 3.855
Pb 0.010 -1.334 9.925
Pb 1.699 4.814 0.654
Pb 1.690 -0.262 6.412
Pb 3.409 5.525 3.865
Pb 3.401 0.448 9.622
Pb 5.090 6.596 0.352
Pb 5.113 -0.266 6.422
O 0.021 5.949 1.714
O 0.005 5.684 6.123
O -0.002 1.154 6.377
O 0.026 4.051 9.296
O 1.695 4.122 3.739
O 1.706 -0.423 4.158
O 1.724 -0.671 8.557
O 3.376 5.934 1.720
O 3.394 5.686 6.119
O 3.405 1.141 6.538
O 5.073 1.211 0.981
O 5.101 4.108 3.900
O 5.095 -0.421 4.154
O 5.078 -0.686 8.563
```

=====

2.
Simulated X-ray powder pattern
Compound: Rb2PbO3
Radiation: a wavelength of 1.5418 Å
Structure: a DFT-relaxed cell (GGA-PBE, the Materials Project)
No peak broadening, texture or thermal motion is included.

Main lines, in order of falling intensity (15 to 90 degrees two-theta):
27.8°, d 3.214, intensity 100; 30.6°, d 2.920, intensity 89; 40.0°, d 2.256, intensity 57; 26.9°, d 3.318, intensity 54; 29.0°, d 3.077, intensity 47; 46.1°, d 1.968, intensity 36

Structural model:
```
24
Lattice="6.154 0.000 0.000 0.000 11.085 0.000 0.000 0.000 7.536" Properties=species:S:1:pos:R:3 pbc="T T T"
Rb 1.452 0.969 0.815
Rb 1.452 4.573 0.815
Rb 1.625 6.512 4.583
Rb 1.625 10.116 4.583
Rb 4.529 0.969 2.953
Rb 4.529 4.573 2.953
Rb 4.702 6.512 6.721
Rb 4.702 10.116 6.721
Pb 1.464 8.314 1.189
Pb 1.613 2.771 4.957
Pb 4.541 8.314 2.580
Pb 4.690 2.771 6.348
O 0.027 1.328 5.515
O 0.027 4.215 5.515
O 1.086 8.314 6.701
O 1.991 2.771 2.933
O 3.049 6.871 1.747
O 3.049 9.757 1.747
O 3.104 1.328 5.789
O 3.104 4.215 5.789
O 4.163 8.314 4.603
O 5.068 2.771 0.835
O 6.126 6.871 2.021
O 6.126 9.757 2.021
```

=====

3.
Simulated X-ray powder pattern
Compound: Rb3PbO3
Radiation: a wavelength of 1.5418 Å
Structure: a DFT-relaxed cell (GGA-PBE, the Materials Project)
No peak broadening, texture or thermal motion is included.

Main lines, in order of falling intensity (15 to 90 degrees two-theta):
26.6°, d 3.350, intensity 100; 27.0°, d 3.300, intensity 78; 17.1°, d 5.196, intensity 63; 28.8°, d 3.105, intensity 51; 36.1°, d 2.491, intensity 44; 35.8°, d 2.509, intensity 43

Structural model:
```
14
Lattice="3.934 -6.210 0.000 3.934 6.210 0.000 -1.033 0.000 7.237" Properties=species:S:1:pos:R:3 pbc="T T T"
Rb 3.934 3.777 0.000
Rb 3.418 3.027 3.619
Rb 2.693 0.000 1.033
Rb 4.143 0.000 6.204
Rb 3.418 -3.027 3.619
Rb 3.934 -3.777 0.000
Pb 0.865 0.000 4.642
Pb 5.971 0.000 2.595
O 0.316 0.000 2.368
O 1.612 1.808 5.634
O 1.612 -1.808 5.634
O 5.224 1.808 1.604
O 5.224 -1.808 1.604
O 6.520 0.000 4.870
```